# Zr13In3
Simulated X-ray powder pattern, a wavelength of 1.5418 Å. Input: the PBE geometry in Alexandria.
No peak broadening, texture or thermal motion is included.

Main lines, low angle first (15 to 90 degrees two-theta):
2.598 Å, intensity 100, (2 2 2)
2.317 Å, intensity 18, (0 0 4)
2.297 Å, intensity 17, (0 4 0)
2.147 Å, intensity 14, (4 0 0)
1.631 Å, intensity 12, (0 4 4)
1.575 Å, intensity 10, (4 0 4)
1.386 Å, intensity 13, (2 2 6)
1.377 Å, intensity 13, (2 6 2)
1.311 Å, intensity 11, (6 2 2)
1.299 Å, intensity 11, (4 4 4)

Structure:
```
data_Zr13In3
_chemical_formula_sum 'Zr26 In6'
_symmetry_space_group_name_H-M 'A m m 2'
_symmetry_Int_Tables_number 38
_symmetry_space_group_name_Hall 'A 2 -2'
_cell_length_a 8.586
_cell_length_b 9.189
_cell_length_c 9.268
_cell_angle_alpha 90.00
_cell_angle_beta 90.00
_cell_angle_gamma 90.00
loop_
_atom_site_label
_atom_site_fract_x
_atom_site_fract_y
_atom_site_fract_z
_atom_site_occupancy
Zr1 0.000 0.000 0.000 1
Zr2 0.000 0.000 0.504 1
Zr3 0.000 0.245 0.249 1
Zr4 0.243 0.000 0.753 1
Zr5 0.254 0.250 0.000 1
Zr6 0.500 0.000 0.502 1
Zr7 0.500 0.245 0.753 1
In1 0.251 0.000 0.253 1
In2 0.500 0.000 0.998 1
```



# KIr
Simulated X-ray powder pattern, a wavelength of 1.5418 Å. Input: the PBE geometry in Alexandria.
No peak broadening, texture or thermal motion is included.

Main lines, low angle first (15 to 90 degrees two-theta):
4.956 Å, intensity 87, (0 0 2)
3.304 Å, intensity 59, (0 0 3)
3.194 Å, intensity 26, (0 1 2)
2.591 Å, intensity 37, (0 1 3)
2.344 Å, intensity 32, (1 1 0)
2.281 Å, intensity 100, (1 1 1)
2.119 Å, intensity 97, (1 1 2)
2.089 Å, intensity 27, (0 2 0)
2.044 Å, intensity 31, (0 2 1)
1.912 Å, intensity 30, (1 1 3)

Structure:
```
data_KIr
_chemical_formula_sum 'K2 Ir2'
_symmetry_space_group_name_H-M 'P m m n'
_symmetry_Int_Tables_number 59
_cell_length_a 2.832
_cell_length_b 4.177
_cell_length_c 9.911
_cell_angle_alpha 90.00
_cell_angle_beta 90.00
_cell_angle_gamma 90.00
loop_
_symmetry_equiv_pos_as_xyz
'x,y,z'
'-x,-y,-z'
'-x+1/2,-y+1/2,z'
'x+1/2,y+1/2,-z'
'x+1/2,-y,-z'
'-x+1/2,y,z'
'-x,y+1/2,-z'
'x,-y+1/2,z'
loop_
_atom_site_label
_atom_site_fract_x
_atom_site_fract_y
_atom_site_fract_z
_atom_site_occupancy
K1 0.250 0.250 0.220 1
Ir1 0.250 0.750 0.469 1
```